Record 1
The following is a calculated X-ray powder pattern of NdH4Pd3. It was derived from a GGA-PBE-relaxed structure, using Cu Kα.

Main lines, in order of rising 2θ (2θ from 10° to 90°):
32.1 deg, d 2.791, rel. 42.2
36.0 deg, d 2.496, rel. 95.7
39.5 deg, d 2.279, rel. 100.0
57.2 deg, d 1.611, rel. 5.8
59.7 deg, d 1.548, rel. 21.4
62.2 deg, d 1.492, rel. 52.1
67.1 deg, d 1.395, rel. 17.9
76.3 deg, d 1.248, rel. 14.1
78.5 deg, d 1.218, rel. 18.9
80.8 deg, d 1.190, rel. 12.3

Atomic structure:
```
data_NdH4Pd3
_cell_length_a 5.5815
_cell_length_b 5.5815
_cell_length_c 5.5815
_cell_angle_alpha 90.00
_cell_angle_beta 90.00
_cell_angle_gamma 90.00
_symmetry_space_group_name_H-M 'P 1'
_symmetry_Int_Tables_number 1
_symmetry_space_group_name_Hall 'P 1'
loop_
_atom_site_label
_atom_site_fract_x
_atom_site_fract_y
_atom_site_fract_z
Nd1 0.0000 0.0000 0.0000
Nd2 0.5000 0.5000 0.5000
H1 0.2500 0.2500 0.2500
H2 0.2500 0.2500 0.7500
H3 0.2500 0.7500 0.2500
H4 0.2500 0.7500 0.7500
H5 0.7500 0.2500 0.2500
H6 0.7500 0.2500 0.7500
H7 0.7500 0.7500 0.2500
H8 0.7500 0.7500 0.7500
Pd1 0.0000 0.2500 0.5000
Pd2 0.0000 0.7500 0.5000
Pd3 0.2500 0.5000 0.0000
Pd4 0.5000 0.0000 0.2500
Pd5 0.5000 0.0000 0.7500
Pd6 0.7500 0.5000 0.0000
```

Record 2
The following is a calculated X-ray powder pattern of NdHPd3. It was derived from a GGA-PBE-relaxed structure, using Cu Kα.

Main lines, in order of rising 2θ (2θ from 10° to 90°):
35.9 deg, d 2.505, rel. 35.9
36.6 deg, d 2.455, rel. 100.0
42.3 deg, d 2.137, rel. 66.5
60.9 deg, d 1.522, rel. 22.3
61.9 deg, d 1.500, rel. 21.0
72.7 deg, d 1.301, rel. 13.1
73.6 deg, d 1.287, rel. 24.8
74.1 deg, d 1.280, rel. 12.1
76.0 deg, d 1.252, rel. 3.9
77.8 deg, d 1.227, rel. 10.5

Atomic structure:
```
data_NdHPd3
_cell_length_a 4.2741
_cell_length_b 4.2741
_cell_length_c 4.2741
_cell_angle_alpha 89.13
_cell_angle_beta 89.13
_cell_angle_gamma 89.13
_symmetry_space_group_name_H-M 'P 1'
_symmetry_Int_Tables_number 1
_symmetry_space_group_name_Hall 'P 1'
loop_
_atom_site_label
_atom_site_fract_x
_atom_site_fract_y
_atom_site_fract_z
Nd1 0.0000 0.0000 0.0000
H1 0.6554 0.6554 0.6554
Pd1 0.0152 0.4960 0.4960
Pd2 0.4960 0.0152 0.4960
Pd3 0.4960 0.4960 0.0152
```

Record 3
The following is a calculated X-ray powder pattern of NdH8Pd3Pt2. It was derived from a GGA-PBE-relaxed structure, using Cu Kα.

Main lines, in order of rising 2θ (2θ from 10° to 90°):
30.6 deg, d 2.917, rel. 14.0
30.8 deg, d 2.904, rel. 37.5
36.1 deg, d 2.489, rel. 39.1
36.2 deg, d 2.480, rel. 100.0
37.7 deg, d 2.387, rel. 11.2
37.9 deg, d 2.373, rel. 31.0
54.7 deg, d 1.678, rel. 12.9
58.3 deg, d 1.583, rel. 40.7
63.8 deg, d 1.459, rel. 19.3
64.1 deg, d 1.452, rel. 19.0

Atomic structure:
```
data_NdH8Pd3Pt2
_cell_length_a 5.8341
_cell_length_b 5.8341
_cell_length_c 5.8341
_cell_angle_alpha 59.70
_cell_angle_beta 59.70
_cell_angle_gamma 59.70
_symmetry_space_group_name_H-M 'P 1'
_symmetry_Int_Tables_number 1
_symmetry_space_group_name_Hall 'P 1'
loop_
_atom_site_label
_atom_site_fract_x
_atom_site_fract_y
_atom_site_fract_z
Nd1 0.0000 0.0000 0.0000
H1 0.3806 0.3806 0.3806
H2 0.3866 0.3866 0.8704
H3 0.3866 0.8704 0.3866
H4 0.4809 0.8355 0.8355
H5 0.8355 0.4809 0.8355
H6 0.8355 0.8355 0.4809
H7 0.8439 0.8439 0.8439
H8 0.8704 0.3866 0.3866
Pd1 0.1347 0.6248 0.6248
Pd2 0.6248 0.1347 0.6248
Pd3 0.6248 0.6248 0.1347
Pt1 0.2522 0.2522 0.2522
Pt2 0.6251 0.6251 0.6251
```

Record 4
The following is a calculated X-ray powder pattern of NdH6PdRu. It was derived from a GGA-PBE-relaxed structure, using Cu Kα.

Main lines, in order of rising 2θ (2θ from 10° to 90°):
30.0 deg, d 2.982, rel. 100.0
37.8 deg, d 2.379, rel. 53.3
41.8 deg, d 2.160, rel. 13.0
49.0 deg, d 1.860, rel. 25.6
57.6 deg, d 1.599, rel. 31.6
63.5 deg, d 1.465, rel. 23.1
68.3 deg, d 1.373, rel. 9.2
69.1 deg, d 1.359, rel. 9.0
83.4 deg, d 1.159, rel. 10.8
88.5 deg, d 1.105, rel. 9.5

Atomic structure:
```
data_NdH6PdRu
_cell_length_a 4.7578
_cell_length_b 4.7578
_cell_length_c 4.3199
_cell_angle_alpha 90.00
_cell_angle_beta 90.00
_cell_angle_gamma 120.00
_symmetry_space_group_name_H-M 'P 1'
_symmetry_Int_Tables_number 1
_symmetry_space_group_name_Hall 'P 1'
loop_
_atom_site_label
_atom_site_fract_x
_atom_site_fract_y
_atom_site_fract_z
Nd1 0.0000 0.0000 0.0000
H1 0.5128 0.0256 0.2285
H2 0.5128 0.0256 0.7715
H3 0.5128 0.4872 0.2285
H4 0.5128 0.4872 0.7715
H5 0.9744 0.4872 0.2285
H6 0.9744 0.4872 0.7715
Pd1 0.3333 0.6667 0.5000
Ru1 0.6667 0.3333 0.5000
```

Record 5
The following is a calculated X-ray powder pattern of Pm4Nd2Sn3H2. It was derived from a GGA-PBE-relaxed structure, using Cu Kα.

Main lines, in order of rising 2θ (2θ from 10° to 90°):
27.2 deg, d 3.279, rel. 49.2
27.7 deg, d 3.216, rel. 14.8
29.8 deg, d 3.000, rel. 21.2
30.6 deg, d 2.917, rel. 19.3
33.7 deg, d 2.660, rel. 100.0
37.5 deg, d 2.398, rel. 54.0
47.3 deg, d 1.922, rel. 13.9
52.1 deg, d 1.754, rel. 11.9
54.1 deg, d 1.696, rel. 18.9
65.3 deg, d 1.430, rel. 31.1

Atomic structure:
```
data_Pm4Nd2Sn3H2
_cell_length_a 13.3028
_cell_length_b 13.3028
_cell_length_c 13.3028
_cell_angle_alpha 159.23
_cell_angle_beta 159.23
_cell_angle_gamma 29.54
_symmetry_space_group_name_H-M 'P 1'
_symmetry_Int_Tables_number 1
_symmetry_space_group_name_Hall 'P 1'
loop_
_atom_site_label
_atom_site_fract_x
_atom_site_fract_y
_atom_site_fract_z
Pm1 0.0825 0.5825 0.5000
Pm2 0.4175 0.9175 0.5000
Pm3 0.5825 0.0825 0.5000
Pm4 0.9175 0.4175 0.5000
Nd1 0.1995 0.1995 0.0000
Nd2 0.8005 0.8005 0.0000
Sn1 0.3261 0.3261 0.0000
Sn2 0.5000 0.5000 0.0000
Sn3 0.6739 0.6739 0.0000
H1 0.1022 0.1022 0.0000
H2 0.8978 0.8978 0.0000
```

Record 6
The following is a calculated X-ray powder pattern of Pr2NdH6. It was derived from a GGA-PBE-relaxed structure, using Cu Kα.

Main lines, in order of rising 2θ (2θ from 10° to 90°):
28.0 deg, d 3.184, rel. 100.0
32.5 deg, d 2.757, rel. 48.9
46.6 deg, d 1.950, rel. 38.5
55.2 deg, d 1.663, rel. 45.1
57.9 deg, d 1.592, rel. 12.7
68.0 deg, d 1.379, rel. 6.1
75.1 deg, d 1.265, rel. 18.1
77.4 deg, d 1.233, rel. 16.4
86.4 deg, d 1.126, rel. 13.0

Atomic structure:
```
data_Pr2NdH6
_cell_length_a 8.7165
_cell_length_b 8.7165
_cell_length_c 8.7165
_cell_angle_alpha 154.14
_cell_angle_beta 154.14
_cell_angle_gamma 36.89
_symmetry_space_group_name_H-M 'P 1'
_symmetry_Int_Tables_number 1
_symmetry_space_group_name_Hall 'P 1'
loop_
_atom_site_label
_atom_site_fract_x
_atom_site_fract_y
_atom_site_fract_z
Pr1 0.1661 0.1661 0.0000
Pr2 0.8339 0.8339 0.0000
Nd1 0.5000 0.5000 0.0000
H1 0.0819 0.5819 0.5000
H2 0.2500 0.7500 0.5000
H3 0.4181 0.9181 0.5000
H4 0.5819 0.0819 0.5000
H5 0.7500 0.2500 0.5000
H6 0.9181 0.4181 0.5000
```

Record 7
The following is a calculated X-ray powder pattern of PrNd4H10. It was derived from a GGA-PBE-relaxed structure, using Cu Kα.

Main lines, in order of rising 2θ (2θ from 10° to 90°):
28.2 deg, d 3.168, rel. 100.0
32.6 deg, d 2.744, rel. 48.9
46.8 deg, d 1.940, rel. 38.4
55.5 deg, d 1.655, rel. 44.9
58.2 deg, d 1.584, rel. 12.7
68.4 deg, d 1.372, rel. 6.1
75.5 deg, d 1.259, rel. 18.0
77.8 deg, d 1.227, rel. 16.4
87.0 deg, d 1.120, rel. 13.0

Atomic structure:
```
data_PrNd4H10
_cell_length_a 16.0034
_cell_length_b 16.0034
_cell_length_c 16.0034
_cell_angle_alpha 13.92
_cell_angle_beta 13.92
_cell_angle_gamma 13.92
_symmetry_space_group_name_H-M 'P 1'
_symmetry_Int_Tables_number 1
_symmetry_space_group_name_Hall 'P 1'
loop_
_atom_site_label
_atom_site_fract_x
_atom_site_fract_y
_atom_site_fract_z
Pr1 0.0000 0.0000 0.0000
Nd1 0.1999 0.1999 0.1999
Nd2 0.4003 0.4003 0.4003
Nd3 0.5997 0.5997 0.5997
Nd4 0.8001 0.8001 0.8001
H1 0.0505 0.0505 0.0505
H2 0.1500 0.1500 0.1500
H3 0.2498 0.2498 0.2498
H4 0.3506 0.3506 0.3506
H5 0.4502 0.4502 0.4502
H6 0.5498 0.5498 0.5498
H7 0.6494 0.6494 0.6494
H8 0.7502 0.7502 0.7502
H9 0.8500 0.8500 0.8500
H10 0.9495 0.9495 0.9495
```